Entry 1:
For PaSiGe, DFT lattice parameters and positions (PBE) gives the simulated powder X-ray diffraction pattern in this record (a wavelength of 1.5418 Å).

Atomic structure:
```
PaSiGe
1.0
6.4158 0.0000 0.0000
0.0000 6.4158 0.0000
0.0000 0.0000 6.4158
Pa Si Ge
4 4 4
Direct
0.0000 0.0000 0.0000 Pa
0.0000 0.5000 0.5000 Pa
0.5000 0.0000 0.5000 Pa
0.5000 0.5000 0.0000 Pa
0.2500 0.2500 0.7500 Si
0.2500 0.7500 0.2500 Si
0.7500 0.2500 0.2500 Si
0.7500 0.7500 0.7500 Si
0.0000 0.0000 0.5000 Ge
0.0000 0.5000 0.0000 Ge
0.5000 0.0000 0.0000 Ge
0.5000 0.5000 0.5000 Ge
```

Top 8 peaks for 15° ≤ 2θ ≤ 90°, by angle:
| Position (°2θ) | Rel. int. |
| --- | --- |
| 24.02 | 52 |
| 27.81 | 87 |
| 39.74 | 100 |
| 46.97 | 28 |
| 49.20 | 25 |
| 57.45 | 17 |
| 65.01 | 33 |
| 72.12 | 35 |

=====

Entry 2:
For Pr5Ge2Pb, DFT lattice parameters and positions (PBE) gives the simulated powder X-ray diffraction pattern in this record (a wavelength of 1.5418 Å).

Atomic structure:
```
Pr5Ge2Pb
1.0
-4.0845 4.0845 7.2343
4.0845 -4.0845 7.2343
4.0845 4.0845 -7.2343
Pr Ge Pb
10 4 2
Direct
0.0000 0.0000 0.0000 Pr
0.0228 0.5228 0.8261 Pr
0.1967 0.0228 0.5000 Pr
0.3033 0.8033 0.8261 Pr
0.4772 0.3033 0.5000 Pr
0.5000 0.5000 0.0000 Pr
0.5228 0.6967 0.5000 Pr
0.6967 0.1967 0.1739 Pr
0.8033 0.9772 0.5000 Pr
0.9772 0.4772 0.1739 Pr
0.1379 0.3621 0.5000 Ge
0.3621 0.8621 0.2243 Ge
0.6379 0.1379 0.7757 Ge
0.8621 0.6379 0.5000 Ge
0.2500 0.2500 0.0000 Pb
0.7500 0.7500 0.0000 Pb
```

Top 8 peaks for 15° ≤ 2θ ≤ 90°, by angle:
| Position (°2θ) | Rel. int. |
| --- | --- |
| 25.14 | 18 |
| 29.13 | 43 |
| 30.70 | 100 |
| 30.96 | 22 |
| 33.08 | 54 |
| 34.73 | 78 |
| 53.95 | 25 |
| 62.71 | 22 |